The following is a computed powder diffractogram of Pr2Ho2CIF4. It was derived from a cell relaxed with GGA-PBE, using λ = 1.5418 Å (Cu Kα).
No peak broadening, texture or thermal motion is included.

Most intense lines, 5 to 70 degrees two-theta, in order of rising 2θ:
two_theta	I_rel	(hkl)
10.89	807	0 0 1
13.06	279	2 0 0
20.14	491	2 0 1
30.44	455	3 1 -1
31.31	315	3 1 0
31.65	1000	1 1 -2
33.07	393	4 0 -3
35.86	204	3 1 1
39.90	317	6 0 0
40.50	228	6 0 -3
49.88	220	7 1 -2
53.66	236	5 1 2

Atomic structure:
abc: 14.7903 3.6864 8.8641
angles: 90.00 113.56 90.00
Space group C2/m (No. 12)
Unique sites:
Pr 0.0080 0.0000 0.2034 (multiplicity 4)
Ho 0.1709 0.5000 0.1050 (multiplicity 4)
C 0.0000 0.5000 0.0000 (multiplicity 2)
I 0.0000 0.5000 0.5000 (multiplicity 2)
F 0.1804 0.0000 0.9423 (multiplicity 4)
F 0.1965 0.0000 0.2667 (multiplicity 4)



The following is a computed powder diffractogram of TbHoCF2. It was derived from a cell relaxed with GGA-PBE, using λ = 1.5418 Å (Cu Kα).
No peak broadening, texture or thermal motion is included.

Most intense lines, 5 to 70 degrees two-theta, in order of rising 2θ:
two_theta	I_rel	(hkl)
13.99	60	0 0 1
28.19	269	0 0 2
28.42	314	1 0 0
31.80	1000	1 0 1
40.46	406	0 1 2
50.32	303	1 1 0
52.23	273	1 0 3
58.67	215	1 1 2
60.76	165	0 2 1
66.11	104	0 1 4
66.46	89	2 0 2
68.19	61	1 1 3

Atomic structure:
abc: 3.6268 3.6268 6.3303
angles: 90.00 90.00 120.00
Space group P3m1 (No. 156)
Unique sites:
Tb 0.0000 0.0000 0.0000 (multiplicity 1)
Ho 0.6667 0.3333 0.4256 (multiplicity 1)
C 0.3333 0.6667 0.2146 (multiplicity 1)
F 0.0000 0.0000 0.5945 (multiplicity 1)
F 0.6667 0.3333 0.8225 (multiplicity 1)



The following is a computed powder diffractogram of Pr2Nd2CIF4. It was derived from a cell relaxed with GGA-PBE, using λ = 1.5418 Å (Cu Kα).
No peak broadening, texture or thermal motion is included.

Most intense lines, 5 to 70 degrees two-theta, in order of rising 2θ:
two_theta	I_rel	(hkl)
25.43	432	4 0 -1
29.44	885	1 1 1
29.97	283	3 1 -1
30.53	383	4 0 0
31.18	316	2 0 -3
32.23	1000	3 1 -2
38.79	250	3 1 -3
39.37	347	4 0 1
47.55	264	0 2 0
51.04	400	7 1 -2
53.24	191	6 0 -5
63.39	197	6 2 -3

Atomic structure:
abc: 14.2979 3.8242 8.7761
angles: 90.00 125.01 90.00
Space group C2/m (No. 12)
Unique sites:
Pr 0.0295 0.0000 0.3365 (multiplicity 4)
Nd 0.2058 0.5000 0.7455 (multiplicity 4)
C 0.0000 0.5000 0.5000 (multiplicity 2)
I 0.0000 0.5000 0.0000 (multiplicity 2)
F 0.1829 0.0000 0.8965 (multiplicity 4)
F 0.2353 0.0000 0.6060 (multiplicity 4)



The following is a computed powder diffractogram of Nd2Sm2C2I2F3. It was derived from a cell relaxed with GGA-PBE, using λ = 1.5418 Å (Cu Kα).
No peak broadening, texture or thermal motion is included.

Most intense lines, 5 to 70 degrees two-theta, in order of rising 2θ:
two_theta	I_rel	(hkl)
12.95	571	0 0 1
26.06	419	0 0 2
26.80	633	1 1 -1
28.44	1000	6 0 0
33.53	219	5 1 0
34.12	305	5 1 -1
34.43	313	6 0 -2
34.89	987	1 1 -2
45.04	324	7 1 -2
46.17	469	5 1 2
47.94	333	0 2 0
56.70	283	6 2 0

Atomic structure:
abc: 19.2709 3.7941 6.9996
angles: 90.00 102.31 90.00
Space group C2/m (No. 12)
Unique sites:
Nd 0.0038 0.0000 0.2382 (multiplicity 4)
Sm 0.1541 0.5000 0.1193 (multiplicity 4)
C 0.0374 0.5000 0.0231 (multiplicity 4)
I 0.1680 0.0000 0.7674 (multiplicity 4)
F 0.0000 0.5000 0.5000 (multiplicity 2)
F 0.1487 0.0000 0.3076 (multiplicity 4)



The following is a computed powder diffractogram of Pr4CI3F2. It was derived from a cell relaxed with GGA-PBE, using λ = 1.5418 Å (Cu Kα).
No peak broadening, texture or thermal motion is included.

Most intense lines, 5 to 70 degrees two-theta, in order of rising 2θ:
two_theta	I_rel	(hkl)
9.79	405	2 0 0
10.22	818	0 0 1
23.26	294	4 0 1
25.38	251	1 1 1
28.17	237	3 1 -1
29.67	458	6 0 0
30.54	1000	1 1 -2
33.70	195	2 0 3
34.23	394	5 1 -1
41.20	284	5 1 2
44.94	213	7 1 -2
45.63	213	0 2 0

Atomic structure:
abc: 18.1903 3.9759 8.7161
angles: 90.00 96.74 90.00
Space group C2/m (No. 12)
Unique sites:
Pr 0.0011 0.0000 0.3018 (multiplicity 4)
Pr 0.1388 0.5000 0.5631 (multiplicity 4)
C 0.0000 0.5000 0.5000 (multiplicity 2)
I 0.0000 0.5000 0.0000 (multiplicity 2)
I 0.1793 0.0000 0.2917 (multiplicity 4)
F 0.1355 0.0000 0.7235 (multiplicity 4)



The following is a computed powder diffractogram of La2Pr2CF5. It was derived from a cell relaxed with GGA-PBE, using λ = 1.5418 Å (Cu Kα).
No peak broadening, texture or thermal motion is included.

Most intense lines, 5 to 70 degrees two-theta, in order of rising 2θ:
two_theta	I_rel	(hkl)
22.71	351	2 0 1
23.10	376	4 0 -1
27.57	490	1 1 -1
28.01	523	0 0 2
28.44	500	4 0 -2
31.26	1000	3 1 0
35.86	881	1 1 -2
36.04	790	3 1 -2
38.83	549	6 0 0
48.19	575	3 1 2
48.87	541	7 1 -2
50.20	328	0 2 0

Atomic structure:
abc: 15.5086 3.6345 7.1002
angles: 90.00 116.19 90.00
Space group C2/m (No. 12)
Unique sites:
La 0.1830 0.0000 0.1843 (multiplicity 4)
Pr 0.0015 0.5000 0.7594 (multiplicity 4)
C 0.0000 0.0000 0.0000 (multiplicity 2)
F 0.0000 0.0000 0.5000 (multiplicity 2)
F 0.1750 0.5000 0.4401 (multiplicity 4)
F 0.1776 0.5000 0.9172 (multiplicity 4)



The following is a computed powder diffractogram of La2Sm2CF5. It was derived from a cell relaxed with GGA-PBE, using λ = 1.5418 Å (Cu Kα).
No peak broadening, texture or thermal motion is included.

Most intense lines, 5 to 70 degrees two-theta, in order of rising 2θ:
two_theta	I_rel	(hkl)
23.22	337	4 0 -1
25.78	355	4 0 0
26.22	334	1 1 0
28.21	603	0 0 2
28.42	468	1 1 -1
28.59	568	4 0 -2
32.07	1000	3 1 0
36.65	872	1 1 -2
36.79	809	3 1 -2
39.09	558	6 0 0
48.98	584	3 1 2
49.58	548	7 1 -2

Atomic structure:
abc: 15.4215 3.5065 7.0562
angles: 90.00 116.30 90.00
Space group C2/m (No. 12)
Unique sites:
La 0.1853 0.0000 0.1876 (multiplicity 4)
Sm 0.0016 0.5000 0.7615 (multiplicity 4)
C 0.0000 0.0000 0.0000 (multiplicity 2)
F 0.0000 0.0000 0.5000 (multiplicity 2)
F 0.1692 0.5000 0.4475 (multiplicity 4)
F 0.1724 0.5000 0.8994 (multiplicity 4)



Which formula does entry 2 have? TbHoCF2



Please write out number 3 again, unchanged.
The following is a computed powder diffractogram of Pr2Nd2CIF4. It was derived from a cell relaxed with GGA-PBE, using λ = 1.5418 Å (Cu Kα).
No peak broadening, texture or thermal motion is included.

Most intense lines, 5 to 70 degrees two-theta, in order of rising 2θ:
two_theta	I_rel	(hkl)
25.43	432	4 0 -1
29.44	885	1 1 1
29.97	283	3 1 -1
30.53	383	4 0 0
31.18	316	2 0 -3
32.23	1000	3 1 -2
38.79	250	3 1 -3
39.37	347	4 0 1
47.55	264	0 2 0
51.04	400	7 1 -2
53.24	191	6 0 -5
63.39	197	6 2 -3

Atomic structure:
abc: 14.2979 3.8242 8.7761
angles: 90.00 125.01 90.00
Space group C2/m (No. 12)
Unique sites:
Pr 0.0295 0.0000 0.3365 (multiplicity 4)
Nd 0.2058 0.5000 0.7455 (multiplicity 4)
C 0.0000 0.5000 0.5000 (multiplicity 2)
I 0.0000 0.5000 0.0000 (multiplicity 2)
F 0.1829 0.0000 0.8965 (multiplicity 4)
F 0.2353 0.0000 0.6060 (multiplicity 4)